Record 1
Simulated powder diffraction line list
Compound: KSr2Re2N6
Radiation: Cu Kα X-rays
Structure: a crystal structure in Alexandria, relaxed with GGA-PBE
Lines closer than 0.1° are merged.

```
KSr2Re2N6
1.0
6.4102 0.0000 0.0000
3.0717 5.6656 0.0000
2.7245 1.5359 6.3569
K Sr Re N
1 2 2 6
Direct
0.0000 0.0000 0.0000
0.2479 0.3283 0.2704
0.7521 0.6717 0.7296
0.4270 0.3665 0.6926
0.5730 0.6335 0.3074
0.1826 0.3309 0.6598
0.3143 0.9089 0.2667
0.3360 0.5504 0.8724
0.6640 0.4496 0.1276
0.6857 0.0911 0.7333
0.8174 0.6691 0.3402
```

Top 10 peaks for 2θ = 10–90°, by intensity:
d/Å  I_rel
5.507  100
5.452  93
3.288  91
3.196  78
2.775  76
3.178  57
5.168  51
4.751  51
3.457  38
3.271  38



Record 2
Simulated powder diffraction line list
Compound: Ba4Sn6F19
Radiation: Cu Kα X-rays
Structure: a crystal structure in Alexandria, relaxed with GGA-PBE
Lines closer than 0.1° are merged.

```
Ba4Sn6F19
1.0
-5.3528 5.3528 5.3528
5.3528 -5.3528 5.3528
5.3528 5.3528 -5.3528
Ba Sn F
4 6 19
Direct
0.0000 0.0000 0.2856
0.0000 0.2856 0.0000
0.2856 0.0000 0.0000
0.7144 0.7144 0.7144
0.1494 0.5000 0.6494
0.3506 0.8506 0.5000
0.5000 0.3506 0.8506
0.5000 0.6494 0.1494
0.6494 0.1494 0.5000
0.8506 0.5000 0.3506
0.0000 0.0000 0.0000
0.0000 0.2856 0.2856
0.0000 0.7144 0.7144
0.0554 0.7641 0.3815
0.2359 0.2913 0.6174
0.2856 0.0000 0.2856
0.2856 0.2856 0.0000
0.2913 0.6174 0.2359
0.3261 0.7087 0.9446
0.3815 0.0554 0.7641
0.3826 0.6739 0.6185
0.6174 0.2359 0.2913
0.6185 0.3826 0.6739
0.6739 0.6185 0.3826
0.7087 0.9446 0.3261
0.7144 0.0000 0.7144
0.7144 0.7144 0.0000
0.7641 0.3815 0.0554
0.9446 0.3261 0.7087
```

Top 10 peaks for 2θ = 10–90°, by intensity:
d/Å  I_rel
3.385  100
2.100  82
4.371  58
2.861  52
1.784  30
1.245  29
1.955  28
3.090  25
5.353  21
1.360  17



Record 3
Simulated powder diffraction line list
Compound: SrRuO3
Radiation: Cu Kα X-rays
Structure: a crystal structure in Alexandria, relaxed with GGA-PBE
Lines closer than 0.1° are merged.

```
SrRuO3
1.0
5.6306 0.0000 0.0000
0.0000 7.9284 0.0000
0.0000 0.0000 5.6404
Sr Ru O
4 4 12
Direct
0.0300 0.2500 0.0049
0.4700 0.7500 0.5049
0.5300 0.2500 0.4951
0.9700 0.7500 0.9951
0.0000 0.0000 0.5000
0.0000 0.5000 0.5000
0.5000 0.0000 0.0000
0.5000 0.5000 0.0000
0.0070 0.7500 0.4374
0.2157 0.5327 0.7844
0.2157 0.9673 0.7844
0.2843 0.0327 0.2844
0.2843 0.4673 0.2844
0.4930 0.2500 0.9374
0.5070 0.7500 0.0626
0.7157 0.5327 0.7156
0.7157 0.9673 0.7156
0.7843 0.0327 0.2156
0.7843 0.4673 0.2156
0.9930 0.2500 0.5626
```

Top 10 peaks for 2θ = 10–90°, by intensity:
d/Å  I_rel
2.810  100
2.818  50
1.626  40
1.992  30
1.621  21
1.405  17
1.982  16
1.260  15
1.254  8
3.985  4



Record 4
Simulated powder diffraction line list
Compound: Te2Pd7Au
Radiation: Cu Kα X-rays
Structure: a crystal structure in Alexandria, relaxed with GGA-PBE
Lines closer than 0.1° are merged.

```
Te2Pd7Au
1.0
-2.0169 2.0169 11.3700
2.0169 -2.0169 11.3700
2.0169 2.0169 -11.3700
Te Pd Au
2 7 1
Direct
0.1667 0.1667 0.0000
0.8333 0.8333 0.0000
0.0000 0.0000 0.0000
0.0896 0.5896 0.5000
0.2500 0.7500 0.5000
0.4104 0.9104 0.5000
0.5896 0.0896 0.5000
0.7500 0.2500 0.5000
0.9104 0.4104 0.5000
0.5000 0.5000 0.0000
```

Top 10 peaks for 2θ = 10–90°, by intensity:
d/Å  I_rel
2.279  100
2.017  35
1.209  26
3.561  26
1.381  18
1.895  13
1.426  11
1.140  10
1.155  9
1.755  7



Record 5
Simulated powder diffraction line list
Compound: Np3Si4Au7
Radiation: Cu Kα X-rays
Structure: a crystal structure in Alexandria, relaxed with GGA-PBE
Lines closer than 0.1° are merged.

```
Np3Si4Au7
1.0
8.0673 -2.1681 0.0000
8.0673 2.1681 0.0000
-5.4204 0.0000 7.7143
Np Si Au
3 4 7
Direct
0.0000 0.0000 0.0000
0.3053 0.3053 0.2990
0.6947 0.6947 0.7010
0.1265 0.1265 0.8408
0.3378 0.3378 0.7209
0.6622 0.6622 0.2791
0.8735 0.8735 0.1592
0.0000 0.0000 0.5000
0.1579 0.1579 0.4214
0.3288 0.3288 0.9753
0.4890 0.4890 0.6989
0.5110 0.5110 0.3011
0.6712 0.6712 0.0247
0.8421 0.8421 0.5786
```

Top 10 peaks for 2θ = 10–90°, by intensity:
d/Å  I_rel
2.573  100
2.593  78
2.168  53
2.200  39
2.536  39
2.544  37
3.094  36
2.367  28
1.544  26
3.390  22



Record 6
Simulated powder diffraction line list
Compound: YGa3Fe
Radiation: Cu Kα X-rays
Structure: a crystal structure in Alexandria, relaxed with GGA-PBE
Lines closer than 0.1° are merged.

```
YGa3Fe
1.0
-3.3476 3.4066 4.2019
3.3476 -3.4066 4.2019
3.3476 3.4066 -4.2019
Y Ga Fe
2 6 2
Direct
0.2479 0.2479 0.0000
0.7521 0.7521 0.0000
0.1959 0.3090 0.5049
0.1959 0.6910 0.8869
0.2386 0.7386 0.5000
0.7614 0.2614 0.5000
0.8041 0.3090 0.1131
0.8041 0.6910 0.4951
0.3430 0.0000 0.3430
0.6570 0.0000 0.6570
```

Top 10 peaks for 2θ = 10–90°, by intensity:
d/Å  I_rel
2.646  100
2.618  48
2.388  42
2.101  38
1.578  28
2.157  21
1.834  18
3.155  17
1.428  16
3.348  14



Record 7
Simulated powder diffraction line list
Compound: Ac2Sm3Dy4
Radiation: Cu Kα X-rays
Structure: a crystal structure in Alexandria, relaxed with GGA-PBE
Lines closer than 0.1° are merged.

```
Ac2Sm3Dy4
1.0
9.6003 -1.8580 0.0000
9.6003 1.8580 0.0000
-4.2377 0.0000 8.8314
Ac Sm Dy
2 3 4
Direct
0.1633 0.1633 0.0001
0.8367 0.8367 0.9999
0.3531 0.3531 0.3400
0.5000 0.5000 0.0000
0.6469 0.6469 0.6600
0.0212 0.0212 0.3377
0.3145 0.3145 0.6588
0.6855 0.6855 0.3412
0.9788 0.9788 0.6623
```

Top 10 peaks for 2θ = 10–90°, by intensity:
d/Å  I_rel
2.888  100
2.750  65
2.944  50
2.735  32
3.190  31
1.850  26
1.563  26
1.720  19
2.043  18
1.571  16



Record 8
Simulated powder diffraction line list
Compound: Pm4Ga2I5
Radiation: Cu Kα X-rays
Structure: a crystal structure in Alexandria, relaxed with GGA-PBE
Lines closer than 0.1° are merged.

```
Pm4Ga2I5
1.0
12.1153 -2.1406 0.0000
12.1153 2.1406 0.0000
-0.1714 0.0000 8.6969
Pm Ga I
4 2 5
Direct
0.0174 0.0174 0.2902
0.3383 0.3383 0.5559
0.6617 0.6617 0.4441
0.9826 0.9826 0.7098
0.4504 0.4504 0.4727
0.5496 0.5496 0.5273
0.1452 0.1452 0.1801
0.2077 0.2077 0.6836
0.5000 0.5000 0.0000
0.7923 0.7923 0.3164
0.8548 0.8548 0.8199
```

Top 10 peaks for 2θ = 10–90°, by intensity:
d/Å  I_rel
3.022  100
2.597  70
3.457  54
8.697  51
2.195  43
4.038  42
7.131  33
2.878  33
2.141  23
1.484  17